No. 1
Diffraction record for ThIn. The powder X-ray diffraction pattern is calculated, not measured: it uses the GGA-PBE geometry in the Materials Project and Cu Kα (weighted mean of Kα1 and Kα2).

Structural model:
Unit cell a=3.509 b=3.509 c=4.660 alpha=90.00 beta=90.00 gamma=90.00
Element x y z (fractional)
Th 0.000 0.000 0.000
In 0.500 0.500 0.500

Top 8 peaks for 2θ = 5–70°, in order of falling intensity:
2θ/deg	d_spacing	I_rel
31.92	2.803	100
36.20	2.481	36
62.44	1.487	30
53.98	1.699	23
38.64	2.330	15
52.13	1.755	13
65.74	1.420	13
66.73	1.402	12

No. 2
Diffraction record for Ti3In. The powder X-ray diffraction pattern is calculated, not measured: it uses the GGA-PBE geometry in the Materials Project and Cu Kα (weighted mean of Kα1 and Kα2).

Structural model:
Unit cell a=5.238 b=5.238 c=5.238 alpha=134.05 beta=134.05 gamma=67.01
Element x y z (fractional)
Ti 0.000 0.000 0.000
Ti 0.250 0.750 0.500
Ti 0.750 0.250 0.500
In 0.500 0.500 0.000

Top 8 peaks for 2θ = 5–70°, in order of falling intensity:
2θ/deg	d_spacing	I_rel
37.30	2.411	100
44.31	2.044	30
24.03	3.703	22
62.21	1.492	20
41.35	2.184	18
64.46	1.446	9
20.33	4.367	8
37.94	2.372	7

No. 3
Diffraction record for Ti8In5. The powder X-ray diffraction pattern is calculated, not measured: it uses the GGA-PBE geometry in the Materials Project and Cu Kα (weighted mean of Kα1 and Kα2).

Structural model:
Unit cell a=10.012 b=10.012 c=10.012 alpha=90.00 beta=90.00 gamma=90.00
Element x y z (fractional)
Ti 0.000 0.000 0.357
Ti 0.000 0.000 0.643
Ti 0.000 0.357 0.000
Ti 0.000 0.643 0.000
Ti 0.097 0.097 0.097
Ti 0.097 0.903 0.903
Ti 0.140 0.500 0.500
Ti 0.168 0.168 0.518
Ti 0.168 0.482 0.832
Ti 0.168 0.518 0.168
Ti 0.168 0.832 0.482
Ti 0.171 0.171 0.829
Ti 0.171 0.829 0.171
Ti 0.357 0.000 0.000
Ti 0.482 0.168 0.832
Ti 0.482 0.832 0.168
Ti 0.500 0.140 0.500
Ti 0.500 0.500 0.140
Ti 0.500 0.500 0.860
Ti 0.500 0.860 0.500
Ti 0.518 0.168 0.168
Ti 0.518 0.832 0.832
Ti 0.643 0.000 0.000
Ti 0.829 0.171 0.171
Ti 0.829 0.829 0.829
Ti 0.832 0.168 0.482
Ti 0.832 0.482 0.168
Ti 0.832 0.518 0.832
Ti 0.832 0.832 0.518
Ti 0.860 0.500 0.500
Ti 0.903 0.097 0.903
Ti 0.903 0.903 0.097
In 0.025 0.310 0.310
In 0.025 0.690 0.690
In 0.310 0.025 0.310
In 0.310 0.310 0.025
In 0.310 0.690 0.975
In 0.310 0.975 0.690
In 0.340 0.340 0.340
In 0.340 0.660 0.660
In 0.351 0.351 0.649
In 0.351 0.649 0.351
In 0.649 0.351 0.351
In 0.649 0.649 0.649
In 0.660 0.340 0.660
In 0.660 0.660 0.340
In 0.690 0.025 0.690
In 0.690 0.310 0.975
In 0.690 0.690 0.025
In 0.690 0.975 0.310
In 0.975 0.310 0.690
In 0.975 0.690 0.310

Top 8 peaks for 2θ = 5–70°, in order of falling intensity:
2θ/deg	d_spacing	I_rel
38.13	2.360	100
68.92	1.362	24
26.71	3.337	24
55.03	1.669	12
30.94	2.890	6
32.24	2.777	5
47.17	1.927	5
52.50	1.743	5

No. 4
Diffraction record for Ti3In. The powder X-ray diffraction pattern is calculated, not measured: it uses the GGA-PBE geometry in the Materials Project and Cu Kα (weighted mean of Kα1 and Kα2).

Structural model:
Unit cell a=4.177 b=4.177 c=4.177 alpha=90.00 beta=90.00 gamma=90.00
Element x y z (fractional)
Ti 0.000 0.000 0.500
Ti 0.000 0.500 0.000
Ti 0.500 0.000 0.000
In 0.500 0.500 0.500

Top 8 peaks for 2θ = 5–70°, in order of falling intensity:
2θ/deg	d_spacing	I_rel
37.29	2.412	100
43.32	2.088	48
62.94	1.477	29
21.27	4.177	22
30.26	2.954	19
48.75	1.868	10
53.76	1.705	8
67.24	1.392	5